# 1
# Th2TlP2N6
Computed X-ray diffraction stick pattern, CuKα. Input: a structure optimized by DFT (GGA-PBE).
Neutral-atom scattering factors, no anomalous dispersion.

abc: 10.754 6.717 6.632
angles: 90.00 121.06 90.00
Space group C2/m (No. 12)
One atom of each set of equivalent atoms:
Th: 0.185 0.000 0.311 (multiplicity 4)
Tl: 0.000 0.500 0.000 (multiplicity 2)
P: 0.169 0.000 0.761 (multiplicity 4)
N: 0.075 0.000 0.883 (multiplicity 4)
N: 0.198 0.195 0.654 (multiplicity 8)

Peak list (12 most intense, 2θ from 5° to 70°, sorted by position)
| (hkl) | 2θ (°) | intensity |
| --- | --- | --- |
| 2 0 -1 | 17.4 | 100 |
| 1 1 1 | 25.9 | 78 |
| 0 2 0 | 26.5 | 60 |
| 1 1 -2 | 30.8 | 71 |
| 2 2 -1 | 31.9 | 49 |
| 3 1 0 | 32.0 | 74 |
| 3 1 -3 | 43.4 | 23 |
| 4 2 -2 | 44.7 | 31 |
| 2 0 2 | 45.3 | 31 |
| 1 3 1 | 46.5 | 20 |
| 1 3 -2 | 49.6 | 23 |
| 2 2 2 | 53.3 | 19 |

=====

# 2
# Na2Li4Cd3
Computed X-ray diffraction stick pattern, CuKα. Input: a structure optimized by DFT (GGA-PBE).
Neutral-atom scattering factors, no anomalous dispersion.

abc: 8.369 15.260 6.059
angles: 90.00 90.00 90.00
Space group Cccm (No. 66)
One atom of each set of equivalent atoms:
Na: 0.141 0.173 0.000 (multiplicity 8)
Li: 0.171 0.494 0.000 (multiplicity 8)
Li: 0.205 0.160 0.500 (multiplicity 8)
Cd: 0.000 0.000 0.250 (multiplicity 4)
Cd: 0.000 0.353 0.250 (multiplicity 8)

Peak list (12 most intense, 2θ from 5° to 70°, sorted by position)
| (hkl) | 2θ (°) | intensity |
| --- | --- | --- |
| 1 3 0 | 20.4 | 100 |
| 2 0 0 | 21.2 | 56 |
| 0 0 2 | 29.5 | 18 |
| 0 6 0 | 35.3 | 18 |
| 1 3 2 | 36.1 | 75 |
| 2 0 2 | 36.6 | 36 |
| 3 3 0 | 36.7 | 40 |
| 2 6 0 | 41.6 | 13 |
| 3 3 2 | 47.8 | 18 |
| 2 6 2 | 51.8 | 18 |
| 4 0 2 | 53.2 | 13 |
| 5 3 2 | 66.4 | 13 |

=====

# 3
# BaZn3Ga3
Computed X-ray diffraction stick pattern, CuKα. Input: a structure optimized by DFT (GGA-PBE).
Neutral-atom scattering factors, no anomalous dispersion.

abc: 7.089 7.089 7.089
angles: 90.00 90.00 90.00
Space group Pm-3n (No. 223)
One atom of each set of equivalent atoms:
Ba: 0.000 0.000 0.000 (multiplicity 2)
Zn: 0.000 0.250 0.500 (multiplicity 6)
Ga: 0.000 0.500 0.250 (multiplicity 6)

Peak list (8 most intense, 2θ from 5° to 70°, sorted by position)
| (hkl) | 2θ (°) | intensity |
| --- | --- | --- |
| 1 1 0 | 17.7 | 1 |
| 2 0 0 | 25.1 | 42 |
| 2 1 1 | 30.9 | 100 |
| 2 2 2 | 44.3 | 15 |
| 3 2 1 | 48.0 | 57 |
| 4 0 0 | 51.6 | 24 |
| 4 2 0 | 58.2 | 16 |
| 3 3 2 | 61.3 | 14 |

=====

# 4
# Tl2Bi2O7
Computed X-ray diffraction stick pattern, CuKα. Input: a structure optimized by DFT (GGA-PBE).
Neutral-atom scattering factors, no anomalous dispersion.

abc: 7.595 8.216 5.680
angles: 90.00 93.31 90.00
Space group Cm (No. 8)
One atom of each set of equivalent atoms:
Tl: 0.000 0.229 0.000 (multiplicity 4)
Bi: 0.258 0.500 0.434 (multiplicity 2)
Bi: 0.259 0.000 0.522 (multiplicity 2)
O: 0.035 0.000 0.285 (multiplicity 2)
O: 0.057 0.000 0.782 (multiplicity 2)
O: 0.245 0.313 0.156 (multiplicity 4)
O: 0.351 0.222 0.658 (multiplicity 4)
O: 0.457 0.000 0.270 (multiplicity 2)

Peak list (12 most intense, 2θ from 5° to 70°, sorted by position)
| (hkl) | 2θ (°) | intensity |
| --- | --- | --- |
| 0 2 1 | 26.8 | 100 |
| 2 0 -1 | 27.5 | 48 |
| 2 0 1 | 29.1 | 39 |
| 0 0 2 | 31.6 | 24 |
| 2 2 0 | 32.1 | 54 |
| 0 4 0 | 44.1 | 15 |
| 2 2 -2 | 44.6 | 24 |
| 2 2 2 | 46.7 | 24 |
| 2 4 -1 | 52.8 | 21 |
| 2 4 1 | 53.7 | 14 |
| 4 2 -1 | 54.9 | 15 |
| 4 2 1 | 56.7 | 14 |

=====

# 5
# Y4CuPd3
Computed X-ray diffraction stick pattern, CuKα. Input: a structure optimized by DFT (GGA-PBE).
Neutral-atom scattering factors, no anomalous dispersion.

abc: 3.763 4.561 10.530
angles: 90.00 90.00 90.00
Space group Pmm2 (No. 25)
One atom of each set of equivalent atoms:
Y: 0.000 0.000 0.000 (multiplicity 1)
Y: 0.000 0.500 0.276 (multiplicity 1)
Y: 0.500 0.000 0.499 (multiplicity 1)
Y: 0.500 0.500 0.776 (multiplicity 1)
Cu: 0.000 0.000 0.715 (multiplicity 1)
Pd: 0.000 0.500 0.561 (multiplicity 1)
Pd: 0.500 0.000 0.223 (multiplicity 1)
Pd: 0.500 0.500 0.051 (multiplicity 1)

Peak list (12 most intense, 2θ from 5° to 70°, sorted by position)
| (hkl) | 2θ (°) | intensity |
| --- | --- | --- |
| 0 0 2 | 16.8 | 12 |
| 1 1 1 | 32.0 | 100 |
| 0 0 4 | 34.1 | 26 |
| 1 0 3 | 35.0 | 19 |
| 0 2 0 | 39.5 | 63 |
| 1 1 3 | 40.3 | 78 |
| 2 0 0 | 48.4 | 20 |
| 0 2 4 | 53.1 | 14 |
| 1 2 3 | 53.8 | 12 |
| 2 0 4 | 60.5 | 10 |
| 2 2 0 | 64.2 | 29 |
| 1 0 7 | 67.0 | 23 |

=====

# 6
# Pm5Sm3S8
Computed X-ray diffraction stick pattern, CuKα. Input: a structure optimized by DFT (GGA-PBE).
Neutral-atom scattering factors, no anomalous dispersion.

abc: 8.0541 8.0541 19.7085
angles: 90.00 90.00 120.00
Space group R-3m (No. 166, hexagonal axes)
One atom of each set of equivalent atoms:
Pm: 0.0000 0.0000 0.0000 (multiplicity 3)
Pm: 0.0000 0.0000 0.5000 (multiplicity 3)
Pm: 0.0000 0.5000 0.0000 (multiplicity 9)
Sm: 0.0000 0.5000 0.5000 (multiplicity 9)
S: 0.0000 0.0000 0.2492 (multiplicity 6)
S: 0.0011 0.5005 0.7505 (multiplicity 18)

Peak list (6 most intense, 2θ from 5° to 70°, sorted by position)
| (hkl) | 2θ (°) | intensity |
| --- | --- | --- |
| 2 0 2 | 27.1 | 76 |
| 0 2 4 | 31.4 | 100 |
| 2 2 0 | 45.0 | 72 |
| 2 2 6 | 53.4 | 38 |
| 4 0 4 | 55.9 | 25 |
| 0 4 8 | 65.6 | 12 |